Calculated powder XRD pattern
Compound: HfMg14W
Radiation: Cu Kα, 1.54184 Å
Structure: DFT lattice parameters and positions (PBE)

Peak list (8 most intense, 2θ = 10–80°, in order of rising 2θ)
d_spacing  2theta  Rel. int.  (hkl)
5.585  15.87  54  0 0 2
5.072  17.48  41  2 0 0
4.893  18.13  76  1 0 2
3.755  23.70  38  2 0 2
2.671  33.55  40  0 2 2
2.536  35.39  40  4 0 0
2.446  36.74  63  2 0 4
2.363  38.08  100  2 2 2

Structure:
Lattice parameters (Å, degrees): 10.145 6.082 11.170 90.00 90.00 90.00
Space group Amm2 (No. 38)
Symmetry-distinct sites (fractional):
Hf 0.000 0.000 0.000
Mg 0.000 0.247 0.249
Mg 0.237 0.000 0.651
Mg 0.242 0.245 0.411
Mg 0.252 0.000 0.155
Mg 0.500 0.000 0.496
Mg 0.500 0.000 0.994
Mg 0.500 0.248 0.746
W 0.000 0.000 0.498